This entry pairs a crystal structure of NaNb2PO8 with its theoretical X-ray diffraction stick pattern. Radiation: Cu Ka. Structure: a PBE-relaxed structure.

abc: 6.852 5.511 18.247
angles: 90.00 90.23 90.00
Fractional positions:
Na1 0.211 0.000 0.283
Na2 0.288 0.964 0.784
Na3 0.712 0.464 0.216
Na4 0.789 0.500 0.717
Nb1 0.009 0.491 0.374
Nb2 0.164 0.994 0.961
Nb3 0.339 0.998 0.461
Nb4 0.490 0.484 0.873
Nb5 0.510 0.984 0.127
Nb6 0.661 0.498 0.539
Nb7 0.836 0.494 0.039
Nb8 0.991 0.991 0.626
P1 0.190 0.484 0.187
P2 0.308 0.471 0.686
P3 0.692 0.971 0.314
P4 0.810 0.984 0.813
O1 0.008 0.497 0.138
O2 0.017 0.253 0.002
O3 0.116 0.465 0.268
O4 0.153 0.763 0.396
O5 0.158 0.986 0.540
O6 0.163 0.677 0.670
O7 0.192 0.258 0.408
O8 0.213 0.216 0.681
O9 0.309 0.250 0.174
O10 0.315 0.716 0.182
O11 0.325 0.729 0.904
O12 0.332 0.220 0.898
O13 0.342 0.972 0.041
O14 0.377 0.507 0.767
O15 0.477 0.697 0.492
O16 0.492 0.485 0.638
O17 0.508 0.985 0.362
O18 0.523 0.197 0.508
O19 0.623 0.007 0.233
O20 0.658 0.472 0.959
O21 0.668 0.720 0.102
O22 0.675 0.229 0.096
O23 0.685 0.216 0.818
O24 0.691 0.750 0.826
O25 0.787 0.716 0.319
O26 0.808 0.758 0.592
O27 0.837 0.177 0.330
O28 0.842 0.486 0.460
O29 0.847 0.263 0.604
O30 0.884 0.965 0.732
O31 0.983 0.753 0.998
O32 0.992 0.997 0.862

Most intense lines, 5° ≤ 2θ ≤ 70°, sorted by position:
2θ 19.5, I 70.5, hkl 1 0 3; 2θ 20.7, I 19.8, hkl 1 1 0; 2θ 21.3, I 100.0, hkl 1 1 -1; 2θ 22.9, I 63.5, hkl 1 1 -2; 2θ 23.4, I 40.0, hkl 1 0 -4; 2θ 25.4, I 54.2, hkl 1 1 -3; 2θ 32.3, I 41.8, hkl 2 1 2; 2θ 32.5, I 31.0, hkl 0 2 0; 2θ 33.7, I 44.3, hkl 0 1 6; 2θ 52.3, I 23.1, hkl 3 2 1